# 1
The following is a computed powder diffraction line list of Y2HoMnS6. It was derived from a crystal structure in Alexandria, relaxed with GGA-PBE, using Cu Kα X-rays.
Neutral-atom scattering factors, no anomalous dispersion.

Largest 10 diffraction maxima, sorted by position, 2θ from 15° to 90°:
18.5 deg, intensity 100
24.5 deg, intensity 93
25.2 deg, intensity 83
25.4 deg, intensity 79
25.9 deg, intensity 82
27.1 deg, intensity 73
30.7 deg, intensity 81
37.5 deg, intensity 84
41.0 deg, intensity 87
45.9 deg, intensity 87

Structure:
a b c (Å): 6.5895 6.7155 7.0352
angles (deg): 62.23 89.86 62.28
Sites, in units of the cell vectors:
Y: 0.0000 0.0000 0.0000
Y: 0.4972 0.0017 0.5109
Ho: 0.7035 0.5849 0.1127
Mn: 0.1975 0.5967 0.5976
S: 0.0976 0.4925 0.3374
S: 0.3046 0.7434 0.8121
S: 0.4059 0.7539 0.3395
S: 0.5759 0.0966 0.8314
S: 0.8180 0.0897 0.3186
S: 0.9305 0.4984 0.8024

***

# 2
The following is a computed powder diffraction line list of HoMn2Se4. It was derived from a crystal structure in Alexandria, relaxed with GGA-PBE, using Cu Kα X-rays.
Neutral-atom scattering factors, no anomalous dispersion.

Largest 10 diffraction maxima, sorted by position, 2θ from 15° to 90°:
15.8 deg, intensity 28
25.4 deg, intensity 29
31.6 deg, intensity 56
32.3 deg, intensity 34
32.4 deg, intensity 100
34.7 deg, intensity 68
43.4 deg, intensity 31
45.4 deg, intensity 23
47.3 deg, intensity 30
48.5 deg, intensity 30

Structure:
a b c (Å): 6.5664 6.5664 12.6738
angles (deg): 90.00 90.00 145.94
Sites, in units of the cell vectors:
Ho: 0.1152 0.8848 0.7500
Ho: 0.8848 0.1152 0.2500
Mn: 0.3682 0.6318 0.5672
Mn: 0.3682 0.6318 0.9328
Mn: 0.6318 0.3682 0.0672
Mn: 0.6318 0.3682 0.4328
Se: 0.0000 0.0000 0.0000
Se: 0.0000 0.0000 0.5000
Se: 0.2765 0.7235 0.1134
Se: 0.2765 0.7235 0.3866
Se: 0.4492 0.5508 0.7500
Se: 0.5508 0.4492 0.2500
Se: 0.7235 0.2765 0.6134
Se: 0.7235 0.2765 0.8866

***

# 3
The following is a computed powder diffraction line list of Ho3MnTl3Se8. It was derived from a crystal structure in Alexandria, relaxed with GGA-PBE, using Cu Kα X-rays.
Neutral-atom scattering factors, no anomalous dispersion.

Largest 10 diffraction maxima, sorted by position, 2θ from 15° to 90°:
22.6 deg, intensity 10
26.5 deg, intensity 13
29.7 deg, intensity 100
31.8 deg, intensity 11
40.0 deg, intensity 35
44.8 deg, intensity 34
54.7 deg, intensity 17
61.6 deg, intensity 10
66.3 deg, intensity 11
73.3 deg, intensity 14

Structure:
a b c (Å): 9.1395 9.1395 9.1395
angles (deg): 52.54 52.54 52.54
Sites, in units of the cell vectors:
Ho: 0.0000 0.5000 0.5000
Ho: 0.5000 0.0000 0.5000
Ho: 0.5000 0.5000 0.0000
Mn: 0.0000 0.0000 0.0000
Tl: 0.0000 0.0000 0.5000
Tl: 0.0000 0.5000 0.0000
Tl: 0.5000 0.0000 0.0000
Se: 0.2146 0.2146 0.7601
Se: 0.2146 0.7601 0.2146
Se: 0.2399 0.7854 0.7854
Se: 0.2647 0.2647 0.2647
Se: 0.7353 0.7353 0.7353
Se: 0.7601 0.2146 0.2146
Se: 0.7854 0.2399 0.7854
Se: 0.7854 0.7854 0.2399

***

# 4
The following is a computed powder diffraction line list of Ho2Mn12Si7. It was derived from a crystal structure in Alexandria, relaxed with GGA-PBE, using Cu Kα X-rays.
Neutral-atom scattering factors, no anomalous dispersion.

Largest 10 diffraction maxima, sorted by position, 2θ from 15° to 90°:
27.2 deg, intensity 14
28.2 deg, intensity 11
32.1 deg, intensity 12
37.2 deg, intensity 14
38.0 deg, intensity 100
46.7 deg, intensity 12
49.9 deg, intensity 20
51.3 deg, intensity 14
54.3 deg, intensity 11
74.4 deg, intensity 12

Structure:
a b c (Å): 9.6673 9.6673 3.5631
angles (deg): 90.00 90.00 120.00
Sites, in units of the cell vectors:
Ho: 0.0000 0.0000 0.0000
Ho: 0.3333 0.6667 0.5000
Mn: 0.0483 0.7637 0.5000
Mn: 0.1002 0.3813 0.0000
Mn: 0.2363 0.2846 0.5000
Mn: 0.2811 0.8998 0.0000
Mn: 0.3879 0.2122 0.0000
Mn: 0.5366 0.1079 0.5000
Mn: 0.5713 0.4634 0.5000
Mn: 0.6187 0.7189 0.0000
Mn: 0.7154 0.9517 0.5000
Mn: 0.7878 0.1756 0.0000
Mn: 0.8244 0.6121 0.0000
Mn: 0.8921 0.4287 0.5000
Si: 0.0742 0.6154 0.0000
Si: 0.2495 0.0404 0.5000
Si: 0.3846 0.4587 0.0000
Si: 0.5413 0.9258 0.0000
Si: 0.6667 0.3333 0.0000
Si: 0.7909 0.7505 0.5000
Si: 0.9596 0.2091 0.5000

***

# 5
The following is a computed powder diffraction line list of TbHoMn17. It was derived from a crystal structure in Alexandria, relaxed with GGA-PBE, using Cu Kα X-rays.
Neutral-atom scattering factors, no anomalous dispersion.

Largest 10 diffraction maxima, sorted by position, 2θ from 15° to 90°:
31.0 deg, intensity 45
32.6 deg, intensity 28
36.0 deg, intensity 48
39.2 deg, intensity 65
41.8 deg, intensity 90
43.1 deg, intensity 100
44.7 deg, intensity 34
45.9 deg, intensity 22
61.6 deg, intensity 28
84.4 deg, intensity 20

Structure:
a b c (Å): 6.3195 6.3195 6.3195
angles (deg): 86.29 86.29 86.29
Sites, in units of the cell vectors:
Tb: 0.0000 0.0000 0.0000
Ho: 0.7101 0.7101 0.7101
Mn: 0.9995 0.9995 0.4788
Mn: 0.9995 0.4788 0.9995
Mn: 0.0803 0.3557 0.6307
Mn: 0.0803 0.6307 0.3557
Mn: 0.2323 0.7108 0.7108
Mn: 0.2559 0.2559 0.2559
Mn: 0.3557 0.0803 0.6307
Mn: 0.3558 0.3558 0.8554
Mn: 0.3557 0.6307 0.0803
Mn: 0.3558 0.8554 0.3558
Mn: 0.4552 0.4552 0.4552
Mn: 0.4788 0.9995 0.9995
Mn: 0.6307 0.0803 0.3557
Mn: 0.6307 0.3557 0.0803
Mn: 0.7108 0.2323 0.7108
Mn: 0.7108 0.7108 0.2323
Mn: 0.8554 0.3558 0.3558

***

# 6
The following is a computed powder diffraction line list of HoMnZn17. It was derived from a crystal structure in Alexandria, relaxed with GGA-PBE, using Cu Kα X-rays.
Neutral-atom scattering factors, no anomalous dispersion.

Largest 10 diffraction maxima, sorted by position, 2θ from 15° to 90°:
35.1 deg, intensity 25
35.8 deg, intensity 20
40.7 deg, intensity 100
40.9 deg, intensity 20
41.4 deg, intensity 20
45.8 deg, intensity 36
45.9 deg, intensity 11
66.7 deg, intensity 11
74.1 deg, intensity 15
74.3 deg, intensity 11

Structure:
a b c (Å): 6.7603 6.7603 6.7603
angles (deg): 81.97 81.97 81.97
Sites, in units of the cell vectors:
Ho: 0.0000 0.0000 0.0000
Mn: 0.2746 0.2746 0.2746
Zn: 0.0113 0.0113 0.4927
Zn: 0.0113 0.4927 0.0113
Zn: 0.1598 0.6736 0.6736
Zn: 0.3138 0.3138 0.8213
Zn: 0.3138 0.8213 0.3138
Zn: 0.3580 0.6524 0.9791
Zn: 0.3580 0.9791 0.6524
Zn: 0.4927 0.0113 0.0113
Zn: 0.5583 0.5583 0.5583
Zn: 0.6524 0.3580 0.9791
Zn: 0.6524 0.9791 0.3580
Zn: 0.6736 0.1598 0.6736
Zn: 0.6736 0.6736 0.1598
Zn: 0.7600 0.7600 0.7600
Zn: 0.8213 0.3138 0.3138
Zn: 0.9791 0.3580 0.6524
Zn: 0.9791 0.6524 0.3580